Record 1
The following is a theoretical powder diffractogram of Mn8O13F3. It was derived from a structure optimized by DFT (GGA+U), using Cu Kα, 1.54184 Å.
Intensities are scaled so that the largest is 100.

Principal peaks in the range 10° ≤ 2θ ≤ 90°, sorted by position:
2theta, I (rel.)
26.43, 100
28.34, 91
35.80, 94
52.89, 26
53.08, 27
55.25, 26

Structure:
```
Mn8O13F3
1.0
4.595 0.000 0.000
0.000 5.983 0.000
-0.633 0.000 9.243
Mn O F
8 13 3
direct
0.000 0.000 0.000 Mn
0.001 0.500 0.499 Mn
0.035 0.000 0.485 Mn
0.466 0.251 0.764 Mn
0.466 0.749 0.764 Mn
0.530 0.243 0.238 Mn
0.530 0.757 0.238 Mn
0.993 0.500 0.003 Mn
0.205 0.251 0.092 O
0.205 0.749 0.092 O
0.206 0.250 0.594 O
0.206 0.750 0.594 O
0.282 0.500 0.848 O
0.284 0.000 0.851 O
0.335 0.000 0.328 O
0.711 0.000 0.149 O
0.715 0.500 0.151 O
0.798 0.251 0.904 O
0.798 0.749 0.904 O
0.809 0.248 0.401 O
0.809 0.752 0.401 O
0.331 0.500 0.334 F
0.674 0.000 0.668 F
0.682 0.500 0.664 F
```



Record 2
The following is a theoretical powder diffractogram of Mn8O13F3. It was derived from a structure optimized by DFT (GGA+U), using Cu Kα, 1.54184 Å.
Intensities are scaled so that the largest is 100.

Principal peaks in the range 10° ≤ 2θ ≤ 90°, sorted by position:
2theta, I (rel.)
25.03, 65
25.99, 54
30.80, 53
30.93, 46
31.67, 100
37.20, 47

Structure:
```
Mn8O13F3
1.0
6.709 0.000 0.000
-0.682 6.704 0.000
-2.880 -3.191 5.526
Mn O F
8 13 3
direct
0.000 0.000 0.000 Mn
0.008 0.992 0.495 Mn
0.099 0.586 0.684 Mn
0.113 0.598 0.201 Mn
0.489 0.496 0.992 Mn
0.512 0.480 0.496 Mn
0.611 0.100 0.700 Mn
0.627 0.104 0.212 Mn
0.052 0.706 0.469 O
0.089 0.904 0.243 O
0.183 0.337 0.242 O
0.212 0.538 0.965 O
0.348 0.170 0.743 O
0.410 0.570 0.737 O
0.539 0.196 0.459 O
0.590 0.400 0.243 O
0.677 0.840 0.244 O
0.714 0.033 0.968 O
0.851 0.666 0.742 O
0.916 0.080 0.747 O
0.940 0.248 0.458 O
0.280 0.948 0.977 F
0.467 0.750 0.474 F
0.761 0.452 0.971 F
```



Record 3
The following is a theoretical powder diffractogram of Mn3O4F2. It was derived from a structure optimized by DFT (GGA+U), using Cu Kα, 1.54184 Å.
Intensities are scaled so that the largest is 100.

Principal peaks in the range 10° ≤ 2θ ≤ 90°, sorted by position:
2theta, I (rel.)
27.29, 100
27.44, 96
34.81, 30
34.97, 28
53.63, 27
53.81, 42

Structure:
```
Mn3O4F2
1.0
5.511 0.000 0.000
1.677 5.295 0.000
2.149 1.470 6.721
Mn O F
6 8 4
direct
0.000 0.000 0.000 Mn
0.000 0.000 0.500 Mn
0.355 0.350 0.172 Mn
0.356 0.298 0.658 Mn
0.644 0.702 0.342 Mn
0.645 0.650 0.828 Mn
0.107 0.092 0.707 O
0.309 0.692 0.001 O
0.354 0.000 0.328 O
0.440 0.451 0.367 O
0.560 0.549 0.633 O
0.646 0.000 0.672 O
0.691 0.308 0.999 O
0.893 0.908 0.293 O
0.025 0.602 0.681 F
0.241 0.242 0.972 F
0.759 0.758 0.028 F
0.975 0.398 0.319 F
```



Record 4
The following is a theoretical powder diffractogram of Mn6O7F5. It was derived from a structure optimized by DFT (GGA+U), using Cu Kα, 1.54184 Å.
Intensities are scaled so that the largest is 100.

Principal peaks in the range 10° ≤ 2θ ≤ 90°, sorted by position:
2theta, I (rel.)
25.08, 55
30.58, 100
36.56, 20
41.67, 20
53.43, 23
54.68, 37

Structure:
```
Mn6O7F5
1.0
4.595 0.000 0.000
0.000 5.594 0.000
-0.007 0.000 15.459
Mn O F
12 14 10
direct
0.000 0.140 0.000 Mn
0.000 0.860 0.500 Mn
0.009 0.151 0.662 Mn
0.009 0.849 0.162 Mn
0.498 0.351 0.154 Mn
0.498 0.649 0.654 Mn
0.524 0.325 0.821 Mn
0.524 0.675 0.321 Mn
0.569 0.358 0.486 Mn
0.569 0.642 0.986 Mn
0.996 0.144 0.330 Mn
0.996 0.856 0.830 Mn
0.222 0.112 0.771 O
0.222 0.888 0.271 O
0.232 0.119 0.105 O
0.232 0.881 0.605 O
0.717 0.390 0.710 O
0.717 0.610 0.210 O
0.739 0.402 0.376 O
0.739 0.598 0.876 O
0.755 0.382 0.044 O
0.755 0.618 0.544 O
0.789 0.091 0.893 O
0.789 0.909 0.393 O
0.801 0.114 0.553 O
0.801 0.886 0.053 O
0.242 0.382 0.268 F
0.242 0.618 0.768 F
0.271 0.126 0.444 F
0.271 0.874 0.944 F
0.274 0.360 0.934 F
0.274 0.640 0.434 F
0.292 0.388 0.590 F
0.292 0.612 0.090 F
0.733 0.115 0.218 F
0.733 0.885 0.718 F
```



Record 5
The following is a theoretical powder diffractogram of Mn6O7F5. It was derived from a structure optimized by DFT (GGA+U), using Cu Kα, 1.54184 Å.
Intensities are scaled so that the largest is 100.

Principal peaks in the range 10° ≤ 2θ ≤ 90°, sorted by position:
2theta, I (rel.)
26.48, 100
27.49, 92
34.84, 69
35.09, 25
60.11, 16
66.91, 26

Structure:
```
Mn6O7F5
1.0
4.637 0.000 0.000
0.191 5.628 0.000
0.135 0.574 7.730
Mn O F
6 7 5
direct
0.000 0.000 0.000 Mn
0.009 0.343 0.673 Mn
0.030 0.674 0.370 Mn
0.497 0.511 0.031 Mn
0.523 0.845 0.682 Mn
0.558 0.187 0.339 Mn
0.214 0.638 0.585 O
0.312 0.461 0.253 O
0.318 0.802 0.916 O
0.718 0.218 0.111 O
0.726 0.888 0.449 O
0.817 0.054 0.774 O
0.824 0.401 0.457 O
0.212 0.961 0.240 F
0.230 0.301 0.888 F
0.328 0.148 0.555 F
0.730 0.547 0.815 F
0.827 0.703 0.142 F
```



Record 6
The following is a theoretical powder diffractogram of Mn8O13F3. It was derived from a structure optimized by DFT (GGA+U), using Cu Kα, 1.54184 Å.
Intensities are scaled so that the largest is 100.

Principal peaks in the range 10° ≤ 2θ ≤ 90°, sorted by position:
2theta, I (rel.)
25.30, 59
25.67, 56
30.99, 51
31.18, 49
31.39, 100
56.11, 36

Structure:
```
Mn8O13F3
1.0
5.530 0.000 0.000
-0.037 6.716 0.000
-0.096 -0.680 6.706
Mn O F
8 13 3
direct
0.000 0.000 0.000 Mn
0.004 0.510 0.505 Mn
0.168 0.502 0.007 Mn
0.225 0.989 0.495 Mn
0.500 0.254 0.265 Mn
0.505 0.745 0.745 Mn
0.701 0.242 0.748 Mn
0.719 0.761 0.263 Mn
0.235 0.455 0.284 O
0.240 0.546 0.728 O
0.252 0.043 0.219 O
0.253 0.950 0.778 O
0.467 0.199 0.530 O
0.467 0.790 0.470 O
0.743 0.962 0.796 O
0.745 0.036 0.207 O
0.746 0.475 0.303 O
0.746 0.526 0.703 O
0.960 0.729 0.059 O
0.963 0.270 0.945 O
0.968 0.787 0.462 O
0.464 0.303 0.985 F
0.476 0.703 0.039 F
0.989 0.212 0.535 F
```



Record 7
The following is a theoretical powder diffractogram of Mn6OF11. It was derived from a structure optimized by DFT (GGA+U), using Cu Kα, 1.54184 Å.
Intensities are scaled so that the largest is 100.

Principal peaks in the range 10° ≤ 2θ ≤ 90°, sorted by position:
2theta, I (rel.)
23.38, 48
23.90, 44
28.50, 56
28.79, 100
29.43, 50
49.56, 28

Structure:
```
Mn6OF11
1.0
4.903 0.000 0.000
-0.128 5.875 0.000
-0.380 -0.165 16.263
Mn O F
12 2 22
direct
0.002 0.343 0.087 Mn
0.008 0.332 0.418 Mn
0.023 0.671 0.255 Mn
0.480 0.834 0.411 Mn
0.485 0.164 0.916 Mn
0.487 0.150 0.252 Mn
0.513 0.850 0.748 Mn
0.515 0.836 0.084 Mn
0.520 0.166 0.589 Mn
0.977 0.329 0.745 Mn
0.992 0.668 0.582 Mn
0.998 0.657 0.913 Mn
0.254 0.879 0.300 O
0.746 0.121 0.700 O
0.206 0.374 0.645 F
0.210 0.586 0.799 F
0.226 0.629 0.147 F
0.231 0.396 0.975 F
0.231 0.406 0.305 F
0.234 0.110 0.805 F
0.237 0.603 0.477 F
0.264 0.889 0.975 F
0.272 0.108 0.477 F
0.284 0.880 0.639 F
0.301 0.128 0.134 F
0.699 0.872 0.866 F
0.716 0.120 0.361 F
0.728 0.892 0.523 F
0.736 0.111 0.025 F
0.763 0.397 0.523 F
0.766 0.890 0.195 F
0.769 0.594 0.695 F
0.769 0.604 0.025 F
0.774 0.371 0.853 F
0.790 0.414 0.201 F
0.794 0.626 0.355 F
```



Record 8
The following is a theoretical powder diffractogram of Mn6O7F5. It was derived from a structure optimized by DFT (GGA+U), using Cu Kα, 1.54184 Å.
Intensities are scaled so that the largest is 100.

Principal peaks in the range 10° ≤ 2θ ≤ 90°, sorted by position:
2theta, I (rel.)
25.33, 100
28.43, 85
35.10, 93
51.26, 64
54.77, 48
67.38, 39

Structure:
```
Mn6O7F5
1.0
9.154 0.000 0.000
0.000 3.139 3.516
0.000 -3.139 3.516
Mn O F
6 7 5
direct
0.000 0.000 0.000 Mn
0.158 0.530 0.530 Mn
0.332 0.023 0.023 Mn
0.500 0.521 0.521 Mn
0.668 0.023 0.023 Mn
0.842 0.530 0.530 Mn
0.000 0.711 0.711 O
0.164 0.204 0.814 O
0.164 0.814 0.204 O
0.500 0.228 0.834 O
0.500 0.834 0.228 O
0.836 0.204 0.814 O
0.836 0.814 0.204 O
0.000 0.296 0.296 F
0.325 0.340 0.340 F
0.336 0.715 0.715 F
0.664 0.715 0.715 F
0.675 0.340 0.340 F
```